Structure and calculated X-ray powder pattern of K4MnO5 (the PBE+U geometry in Alexandria; a wavelength of 1.5418 Å).

Principal peaks in the range 2θ from 10° to 90°, low angle first:
| 2θ (°) | I/Imax |
| --- | --- |
| 15.49 | 25 |
| 19.38 | 20 |
| 29.46 | 100 |
| 32.23 | 50 |
| 35.07 | 74 |
| 48.36 | 44 |
| 50.43 | 19 |
| 55.77 | 18 |
| 59.49 | 35 |
| 78.49 | 15 |

Structural model:
```
data_K4MnO5
_chemical_formula_sum 'K8 Mn2 O10'
_cell_length_a 8.0921
_cell_length_b 8.0921
_cell_length_c 5.5548
_cell_angle_alpha 90.00
_cell_angle_beta 90.00
_cell_angle_gamma 90.00
_symmetry_space_group_name_H-M 'I 4'
_symmetry_Int_Tables_number 79
loop_
_symmetry_equiv_pos_as_xyz
'x,y,z'
'-y,x,z'
'-x,-y,z'
'y,-x,z'
'x+1/2,y+1/2,z+1/2'
'-y+1/2,x+1/2,z+1/2'
'-x+1/2,-y+1/2,z+1/2'
'y+1/2,-x+1/2,z+1/2'
loop_
_atom_site_label
_atom_site_type_symbol
_atom_site_fract_x
_atom_site_fract_y
_atom_site_fract_z
K1 K 0.1007 0.7087 0.0000
Mn1 Mn 0.0000 0.0000 0.5553
O1 O 0.0000 0.0000 0.8686
O2 O 0.0653 0.7842 0.4800
```